Record 1
The following is a simulated powder diffractogram of Pm6CoRh3. It was derived from a structure optimized by DFT (GGA-PBE), using Cu Kα (λ = 1.5418 Å).
Peak positions follow from Bragg's law for the DFT cell and can differ from measured ones.

Crystal structure
```
Pm6CoRh3
1.0
6.880 0.000 0.000
0.000 7.510 0.000
-6.755 0.000 10.110
Pm Co Rh
12 2 6
Cartesian
-1.099 0.435 2.559 Pm
-4.477 3.320 7.614 Pm
1.214 5.047 0.741 Pm
-2.163 6.218 5.796 Pm
2.317 1.351 0.713 Pm
-1.060 2.405 5.768 Pm
1.186 5.106 4.342 Pm
-2.191 6.160 9.398 Pm
2.289 1.292 4.314 Pm
-1.088 2.463 9.369 Pm
4.602 4.191 2.496 Pm
1.225 7.075 7.552 Pm
0.063 0.000 5.055 Co
3.440 3.755 0.000 Co
0.000 0.000 0.000 Rh
-3.377 3.755 5.055 Rh
-3.057 0.830 7.671 Rh
0.320 2.925 2.616 Rh
-0.194 4.586 7.495 Rh
3.183 6.680 2.440 Rh
```

Principal peaks in the range 15 to 90 degrees two-theta, by angle:
28.5 deg, I = 792; 29.4 deg, I = 510; 29.7 deg, I = 1000; 29.8 deg, I = 610; 32.0 deg, I = 407; 32.3 deg, I = 492; 32.5 deg, I = 423; 38.3 deg, I = 490; 44.8 deg, I = 410; 45.3 deg, I = 509

=====

Record 2
The following is a simulated powder diffractogram of VTc2As4. It was derived from a structure optimized by DFT (GGA-PBE), using Cu Kα (λ = 1.5418 Å).
Peak positions follow from Bragg's law for the DFT cell and can differ from measured ones.

Crystal structure
```
VTc2As4
1.0
0.000 6.083 3.340
5.998 0.000 3.340
5.998 6.083 0.000
V Tc As
2 4 8
Cartesian
0.000 0.000 0.000 V
2.999 3.041 1.670 V
3.027 0.001 1.685 Tc
6.026 3.040 3.355 Tc
2.971 6.081 1.685 Tc
5.970 9.126 3.355 Tc
8.057 4.438 3.252 As
5.042 4.669 1.769 As
6.955 7.497 1.769 As
9.954 7.710 3.439 As
5.058 4.686 4.922 As
2.043 4.456 3.439 As
6.938 7.480 4.922 As
3.939 7.727 3.252 As
```

Principal peaks in the range 15 to 90 degrees two-theta, by angle:
20.8 deg, I = 342; 30.5 deg, I = 266; 33.3 deg, I = 476; 34.1 deg, I = 728; 42.3 deg, I = 425; 43.0 deg, I = 1000; 53.4 deg, I = 463; 55.0 deg, I = 205; 71.8 deg, I = 163; 85.3 deg, I = 210

=====

Record 3
The following is a simulated powder diffractogram of Tb3Sm3Y2. It was derived from a structure optimized by DFT (GGA-PBE), using Cu Kα (λ = 1.5418 Å).
Peak positions follow from Bragg's law for the DFT cell and can differ from measured ones.

Crystal structure
```
Tb3Sm3Y2
1.0
5.735 0.000 0.000
0.000 14.625 0.000
0.000 0.000 6.323
Tb Sm Y
6 6 4
Cartesian
1.434 0.006 1.049 Tb
1.434 3.656 1.077 Tb
1.434 7.307 1.049 Tb
4.301 14.619 5.274 Tb
4.301 7.318 5.274 Tb
4.301 10.968 5.245 Tb
1.434 1.831 4.239 Sm
1.434 5.481 4.239 Sm
1.434 10.968 1.025 Sm
4.301 3.656 5.298 Sm
4.301 9.143 2.084 Sm
4.301 12.794 2.084 Sm
1.434 9.124 4.197 Y
1.434 12.813 4.197 Y
4.301 1.812 2.126 Y
4.301 5.500 2.126 Y
```

Principal peaks in the range 15 to 90 degrees two-theta, by angle:
28.2 deg, I = 238; 31.2 deg, I = 244; 32.3 deg, I = 1000; 42.6 deg, I = 156; 49.9 deg, I = 196; 56.2 deg, I = 139; 60.1 deg, I = 225; 60.7 deg, I = 163; 82.4 deg, I = 91; 86.2 deg, I = 83

=====

Record 4
The following is a simulated powder diffractogram of ThAl7Ga12. It was derived from a structure optimized by DFT (GGA-PBE), using Cu Kα (λ = 1.5418 Å).
Peak positions follow from Bragg's law for the DFT cell and can differ from measured ones.

Crystal structure
```
ThAl7Ga12
1.0
-4.819 4.819 4.819
4.819 -4.819 4.819
4.819 4.819 -4.819
Th Al Ga
1 7 12
Cartesian
0.000 0.000 0.000 Th
2.410 2.410 -2.410 Al
2.410 -2.410 2.410 Al
4.819 0.000 0.000 Al
-2.410 2.410 2.410 Al
0.000 4.819 0.000 Al
0.000 0.000 4.819 Al
2.410 2.410 2.410 Al
4.819 -1.861 3.058 Ga
2.958 1.761 0.000 Ga
6.681 1.761 0.000 Ga
3.058 4.819 -1.861 Ga
1.761 0.000 2.958 Ga
0.000 2.958 1.761 Ga
4.819 1.861 3.058 Ga
3.058 4.819 1.861 Ga
1.761 0.000 6.681 Ga
-1.861 3.058 4.819 Ga
1.861 3.058 4.819 Ga
0.000 6.681 1.761 Ga
```

Principal peaks in the range 15 to 90 degrees two-theta, by angle:
29.3 deg, I = 1000; 32.2 deg, I = 462; 34.8 deg, I = 938; 37.3 deg, I = 289; 46.1 deg, I = 389; 48.1 deg, I = 204; 55.6 deg, I = 356; 59.1 deg, I = 415; 68.9 deg, I = 201; 85.5 deg, I = 280